1.
Calculated powder diffraction line list of SrIn3I6 for Cu Kα (weighted mean of Kα1 and Kα2), from a DFT-relaxed cell (GGA-PBE, Alexandria).
Peak positions follow from Bragg's law for the DFT cell and can differ from measured ones.

Top 10 peaks for 2θ = 10–80°, by angle:
2θ = 16.11°, intensity 42; 2θ = 20.03°, intensity 51; 2θ = 22.12°, intensity 75; 2θ = 28.56°, intensity 100; 2θ = 29.06°, intensity 95; 2θ = 33.74°, intensity 84; 2θ = 35.02°, intensity 40; 2θ = 37.60°, intensity 27; 2θ = 39.56°, intensity 27; 2θ = 41.69°, intensity 44

Crystal structure
a b c (Å): 9.8058 9.8058 9.8058
angles (deg): 91.58 91.58 91.58
Positions (direct):
Sr: 0.0000 0.0000 0.0000
Sr: 0.5000 0.5000 0.5000
In: 0.0671 0.5876 0.7410
In: 0.2590 0.9329 0.4124
In: 0.4124 0.2590 0.9329
In: 0.5876 0.7410 0.0671
In: 0.7410 0.0671 0.5876
In: 0.9329 0.4124 0.2590
I: 0.0289 0.9102 0.6783
I: 0.0898 0.3217 0.9711
I: 0.1912 0.5968 0.3957
I: 0.3217 0.9711 0.0898
I: 0.3957 0.1912 0.5968
I: 0.4032 0.6043 0.8088
I: 0.5968 0.3957 0.1912
I: 0.6043 0.8088 0.4032
I: 0.6783 0.0289 0.9102
I: 0.8088 0.4032 0.6043
I: 0.9102 0.6783 0.0289
I: 0.9711 0.0898 0.3217


2.
Calculated powder diffraction line list of LiYHf for Cu Kα (weighted mean of Kα1 and Kα2), from a DFT-relaxed cell (GGA-PBE, Alexandria).
Peak positions follow from Bragg's law for the DFT cell and can differ from measured ones.

Top 10 peaks for 2θ = 10–80°, by angle:
2θ = 30.95°, intensity 34; 2θ = 31.13°, intensity 40; 2θ = 33.68°, intensity 59; 2θ = 34.12°, intensity 48; 2θ = 34.50°, intensity 91; 2θ = 36.39°, intensity 100; 2θ = 37.45°, intensity 49; 2θ = 54.93°, intensity 26; 2θ = 55.27°, intensity 25; 2θ = 66.32°, intensity 28

Crystal structure
a b c (Å): 3.3432 3.3432 15.8876
angles (deg): 96.18 96.18 59.97
Positions (direct):
Li: 0.0000 0.0000 0.0000
Li: 0.6169 0.6169 0.8475
Y: 0.3913 0.3913 0.1800
Y: 0.8913 0.8913 0.6705
Hf: 0.5005 0.5005 0.5021
Hf: 0.7818 0.7818 0.3483


3.
Calculated powder diffraction line list of GaP2 for Cu Kα (weighted mean of Kα1 and Kα2), from a DFT-relaxed cell (GGA-PBE, Alexandria).
Peak positions follow from Bragg's law for the DFT cell and can differ from measured ones.

Top 10 peaks for 2θ = 10–80°, by angle:
2θ = 16.73°, intensity 65; 2θ = 22.11°, intensity 70; 2θ = 24.74°, intensity 100; 2θ = 25.09°, intensity 53; 2θ = 28.51°, intensity 96; 2θ = 34.50°, intensity 47; 2θ = 34.71°, intensity 64; 2θ = 35.50°, intensity 64; 2θ = 50.72°, intensity 59; 2θ = 53.16°, intensity 60

Crystal structure
a b c (Å): 4.5662 5.4575 5.5614
angles (deg): 78.18 70.18 79.21
Positions (direct):
Ga: 0.0000 0.0000 0.0000
Ga: 0.2455 0.3897 0.4026
P: 0.4526 0.2183 0.7659
P: 0.6419 0.4004 0.9924
P: 0.8409 0.7365 0.3944
P: 0.9183 0.0194 0.5885